No. 1
Computed XRD peak list of NiP3O9 for Cu Kα (weighted mean of Kα1 and Kα2), from DFT lattice parameters and positions (GGA+U).

Top 12 peaks for 10° ≤ 2θ ≤ 90°, sorted by position:
hkl 1 0 1, 15.83 deg, rel. 100; hkl 1 1 0, 17.75 deg, rel. 42; hkl 3 -1 1, 29.91 deg, rel. 23; hkl 3 0 0, 31.00 deg, rel. 8; hkl 2 0 2, 31.98 deg, rel. 27; hkl 0 0 3, 36.79 deg, rel. 5; hkl 4 -3 1, 39.50 deg, rel. 6; hkl 4 -1 2, 45.14 deg, rel. 10; hkl 3 0 3, 48.81 deg, rel. 8; hkl 0 2 4, 54.30 deg, rel. 5; hkl 5 -1 3, 62.10 deg, rel. 7; hkl 2 5 0, 67.61 deg, rel. 4

Crystal structure
Unit cell a=9.9921 b=9.9921 c=7.3400 alpha=90.00 beta=90.00 gamma=120.00
Space group R3 (No. 146, hexagonal axes)
Symmetry-distinct sites (fractional):
Ni  0.0000  0.0000  0.0000 x3
P  0.0052  0.5751  0.4848 x9
O  0.0265  0.6674  0.2981 x9
O  0.0812  0.1866  0.8458 x9
O  0.1862  0.0936  0.1548 x9

---

No. 2
Computed XRD peak list of Ni2P5O15 for Cu Kα (weighted mean of Kα1 and Kα2), from DFT lattice parameters and positions (GGA+U).

Top 12 peaks for 10° ≤ 2θ ≤ 90°, sorted by position:
hkl 0 1 0, 10.86 deg, rel. 25; hkl 0 0 2, 13.66 deg, rel. 40; hkl 1 1 -1, 20.15 deg, rel. 25; hkl 1 1 -2, 21.82 deg, rel. 68; hkl 1 0 2, 25.38 deg, rel. 100; hkl 0 2 2, 25.83 deg, rel. 53; hkl 1 0 -4, 28.00 deg, rel. 25; hkl 1 2 0, 28.19 deg, rel. 27; hkl 0 2 3, 30.14 deg, rel. 40; hkl 1 2 1, 30.29 deg, rel. 34; hkl 1 2 2, 33.74 deg, rel. 27; hkl 0 3 4, 43.50 deg, rel. 29

Crystal structure
Unit cell a=5.262 b=8.150 c=13.569 alpha=90.00 beta=107.19 gamma=90.00
Space group P2/c (No. 13)
Symmetry-distinct sites (fractional):
Ni  0.070  0.199  0.468 x4
P  0.000  0.429  0.250 x2
P  0.353  0.323  0.893 x4
P  0.493  0.013  0.141 x4
O  0.073  0.339  0.166 x4
O  0.156  0.302  0.952 x4
O  0.201  0.012  0.583 x4
O  0.247  0.448  0.799 x4
O  0.347  0.120  0.406 x4
O  0.360  0.160  0.825 x4
O  0.365  0.365  0.548 x4
O  0.500  0.089  0.250 x2

---

No. 3
Computed XRD peak list of NiP3O9 for Cu Kα (weighted mean of Kα1 and Kα2), from DFT lattice parameters and positions (GGA+U).

Top 12 peaks for 10° ≤ 2θ ≤ 90°, sorted by position:
hkl 0 0 2, 13.71 deg, rel. 100; hkl 0 2 0, 14.94 deg, rel. 33; hkl 0 2 1, 16.45 deg, rel. 39; hkl 1 1 0, 19.07 deg, rel. 11; hkl 1 0 2, 22.32 deg, rel. 29; hkl 1 1 2, 23.56 deg, rel. 12; hkl 1 2 1, 24.13 deg, rel. 25; hkl 1 2 2, 26.97 deg, rel. 18; hkl 1 0 4, 32.91 deg, rel. 23; hkl 0 4 2, 33.26 deg, rel. 15; hkl 1 2 4, 36.32 deg, rel. 10; hkl 2 2 4, 48.19 deg, rel. 11

Crystal structure
Unit cell a=5.060 b=11.858 c=12.914 alpha=90.00 beta=90.00 gamma=90.00
Space group Pbcm (No. 57)
Symmetry-distinct sites (fractional):
Ni  0.000  0.000  0.000 x4
P  0.239  0.250  0.000 x4
P  0.493  0.582  0.131 x8
O  0.084  0.154  0.546 x8
O  0.200  0.562  0.119 x8
O  0.320  0.505  0.590 x8
O  0.439  0.206  0.087 x8
O  0.445  0.106  0.250 x4

---

No. 4
Computed XRD peak list of Ni3P4PbO14 for Cu Kα (weighted mean of Kα1 and Kα2), from DFT lattice parameters and positions (GGA+U).

Top 12 peaks for 10° ≤ 2θ ≤ 90°, sorted by position:
hkl 0 1 1, 15.15 deg, rel. 52; hkl 0 0 2, 20.07 deg, rel. 57; hkl 1 1 1, 22.16 deg, rel. 52; hkl 0 2 0, 22.83 deg, rel. 44; hkl 1 2 0, 26.25 deg, rel. 100; hkl 1 1 -3, 30.33 deg, rel. 47; hkl 0 2 2, 30.58 deg, rel. 35; hkl 0 1 3, 32.46 deg, rel. 40; hkl 2 1 1, 33.06 deg, rel. 60; hkl 2 1 -3, 33.54 deg, rel. 49; hkl 2 2 -2, 34.77 deg, rel. 33; hkl 0 3 1, 36.05 deg, rel. 47

Crystal structure
Unit cell a=7.529 b=7.790 c=9.562 alpha=90.00 beta=112.26 gamma=90.00
Space group P2_1/c (No. 14)
Symmetry-distinct sites (fractional):
Ni  0.000  0.000  0.000 x2
Ni  0.184  0.126  0.525 x4
P  0.110  0.703  0.806 x4
P  0.395  0.057  0.299 x4
Pb  0.500  0.000  0.000 x2
O  0.001  0.709  0.634 x4
O  0.026  0.575  0.887 x4
O  0.151  0.625  0.387 x4
O  0.267  0.117  0.136 x4
O  0.317  0.629  0.822 x4
O  0.373  0.177  0.418 x4
O  0.401  0.520  0.191 x4